# 1
Starting from a DFT-relaxed cell (GGA-PBE, the Materials Project), the X-ray diffraction stick pattern of Ce2MgS4 was calculated for Cu Kα, 1.54184 Å.
Peak positions follow from Bragg's law for the DFT cell and can differ from measured ones.

Top 10 peaks for 2θ from 15° to 90°, in order of falling intensity:
d/Å	I_rel
3.461	100
2.870	93
2.029	85
2.209	40
1.283	29
1.172	28
2.633	27
1.494	25
1.940	24
3.314	24

Cell and atoms:
a = 8.117 Å, b = 8.117 Å, c = 8.117 Å
α = 60.00°, β = 60.00°, γ = 60.00°
Sites, in units of the cell vectors:
Ce 0.000 0.000 0.000
Ce 0.000 0.000 0.500
Ce 0.000 0.500 0.000
Ce 0.500 0.000 0.000
Mg 0.375 0.375 0.375
Mg 0.625 0.625 0.625
S 0.245 0.752 0.752
S 0.248 0.248 0.248
S 0.248 0.248 0.755
S 0.248 0.755 0.248
S 0.752 0.245 0.752
S 0.752 0.752 0.245
S 0.752 0.752 0.752
S 0.755 0.248 0.248


# 2
Starting from a DFT-relaxed cell (GGA-PBE, the Materials Project), the X-ray diffraction stick pattern of CeMg6Sb was calculated for Cu Kα, 1.54184 Å.
Peak positions follow from Bragg's law for the DFT cell and can differ from measured ones.

Top 10 peaks for 2θ from 15° to 90°, in order of falling intensity:
d/Å	I_rel
2.465	100
2.594	64
3.949	59
5.275	55
2.788	43
2.637	39
1.916	28
2.708	21
1.417	21
2.979	20

Cell and atoms:
a = 5.275 Å, b = 6.741 Å, c = 6.741 Å
α = 55.81°, β = 90.00°, γ = 90.00°
Sites, in units of the cell vectors:
Ce 0.000 0.000 0.000
Mg 0.000 0.495 0.999
Mg 0.000 0.999 0.495
Mg 0.500 0.149 0.651
Mg 0.500 0.164 0.164
Mg 0.500 0.651 0.149
Mg 0.500 0.658 0.658
Sb 0.000 0.493 0.493


# 3
Starting from a DFT-relaxed cell (GGA-PBE, the Materials Project), the X-ray diffraction stick pattern of CeMg6Sb was calculated for Cu Kα, 1.54184 Å.
Peak positions follow from Bragg's law for the DFT cell and can differ from measured ones.

Top 10 peaks for 2θ from 15° to 90°, in order of falling intensity:
d/Å	I_rel
2.535	100
5.847	73
2.505	38
2.791	34
3.809	30
3.833	23
2.923	20
1.671	20
2.328	17
1.917	15

Cell and atoms:
a = 5.077 Å, b = 6.685 Å, c = 6.685 Å
α = 61.00°, β = 90.00°, γ = 90.00°
Sites, in units of the cell vectors:
Ce 0.000 0.000 0.000
Mg 0.000 0.008 0.491
Mg 0.000 0.491 0.008
Mg 0.000 0.511 0.511
Mg 0.500 0.340 0.340
Mg 0.500 0.366 0.827
Mg 0.500 0.827 0.366
Sb 0.500 0.833 0.833


# 4
Starting from a DFT-relaxed cell (GGA-PBE, the Materials Project), the X-ray diffraction stick pattern of Ce2MgSe4 was calculated for Cu Kα, 1.54184 Å.
Peak positions follow from Bragg's law for the DFT cell and can differ from measured ones.

Top 10 peaks for 2θ from 15° to 90°, in order of falling intensity:
d/Å	I_rel
2.582	100
2.668	97
3.833	74
2.765	70
3.042	66
1.869	50
1.917	45
2.913	40
2.325	39
3.262	38

Cell and atoms:
a = 8.433 Å, b = 7.666 Å, c = 12.418 Å
α = 90.00°, β = 90.00°, γ = 90.00°
Sites, in units of the cell vectors:
Ce 0.044 0.250 0.187
Ce 0.068 0.750 0.469
Ce 0.432 0.250 0.969
Ce 0.456 0.750 0.687
Ce 0.544 0.250 0.313
Ce 0.568 0.750 0.031
Ce 0.932 0.250 0.531
Ce 0.956 0.750 0.813
Mg 0.184 0.750 0.087
Mg 0.316 0.250 0.587
Mg 0.684 0.750 0.413
Mg 0.816 0.250 0.913
Se 0.101 0.250 0.952
Se 0.145 0.503 0.657
Se 0.145 0.997 0.657
Se 0.212 0.250 0.391
Se 0.288 0.750 0.891
Se 0.355 0.003 0.157
Se 0.355 0.497 0.157
Se 0.399 0.750 0.452
Se 0.601 0.250 0.548
Se 0.645 0.503 0.843
Se 0.645 0.997 0.843
Se 0.712 0.250 0.109
Se 0.788 0.750 0.609
Se 0.855 0.003 0.343
Se 0.855 0.497 0.343
Se 0.899 0.750 0.048


# 5
Starting from a DFT-relaxed cell (GGA-PBE, the Materials Project), the X-ray diffraction stick pattern of CeMgSe3 was calculated for Cu Kα, 1.54184 Å.
Peak positions follow from Bragg's law for the DFT cell and can differ from measured ones.

Top 10 peaks for 2θ from 15° to 90°, in order of falling intensity:
d/Å	I_rel
5.717	100
2.159	58
3.071	45
2.616	44
3.300	40
2.606	31
2.705	28
3.317	26
2.674	26
3.346	25

Cell and atoms:
a = 7.023 Å, b = 7.023 Å, c = 7.170 Å
α = 107.44°, β = 107.44°, γ = 108.94°
Sites, in units of the cell vectors:
Ce 0.201 0.201 0.248
Ce 0.799 0.799 0.752
Mg 0.324 0.676 0.000
Mg 0.676 0.324 0.000
Se 0.062 0.760 0.182
Se 0.240 0.938 0.818
Se 0.435 0.435 0.713
Se 0.565 0.565 0.287
Se 0.760 0.062 0.182
Se 0.938 0.240 0.818


# 6
Starting from a DFT-relaxed cell (GGA-PBE, the Materials Project), the X-ray diffraction stick pattern of Ce2MgSe4 was calculated for Cu Kα, 1.54184 Å.
Peak positions follow from Bragg's law for the DFT cell and can differ from measured ones.

Top 10 peaks for 2θ from 15° to 90°, in order of falling intensity:
d/Å	I_rel
2.728	100
2.409	90
2.904	61
2.746	51
2.316	40
1.890	28
3.686	25
4.313	25
1.780	19
2.350	17

Cell and atoms:
a = 7.655 Å, b = 7.655 Å, c = 7.655 Å
α = 111.42°, β = 111.42°, γ = 105.64°
Sites, in units of the cell vectors:
Ce 0.005 0.625 0.880
Ce 0.375 0.255 0.380
Ce 0.745 0.125 0.120
Ce 0.875 0.995 0.620
Mg 0.250 0.750 0.500
Mg 0.500 0.500 0.000
Se 0.004 0.876 0.267
Se 0.124 0.391 0.128
Se 0.141 0.374 0.628
Se 0.263 0.996 0.872
Se 0.487 0.859 0.233
Se 0.609 0.737 0.733
Se 0.626 0.254 0.767
Se 0.746 0.513 0.372


# 7
Starting from a DFT-relaxed cell (GGA-PBE, the Materials Project), the X-ray diffraction stick pattern of CeMgSe3 was calculated for Cu Kα, 1.54184 Å.
Peak positions follow from Bragg's law for the DFT cell and can differ from measured ones.

Top 10 peaks for 2θ from 15° to 90°, in order of falling intensity:
d/Å	I_rel
3.104	100
2.363	61
2.058	43
1.811	23
5.172	22
1.715	16
1.552	15
5.871	15
3.756	14
1.239	14

Cell and atoms:
a = 7.533 Å, b = 7.533 Å, c = 7.533 Å
α = 56.49°, β = 56.49°, γ = 56.49°
Sites, in units of the cell vectors:
Ce 0.156 0.156 0.156
Ce 0.844 0.844 0.844
Mg 0.347 0.347 0.347
Mg 0.653 0.653 0.653
Se 0.059 0.439 0.743
Se 0.257 0.941 0.561
Se 0.439 0.743 0.059
Se 0.561 0.257 0.941
Se 0.743 0.059 0.439
Se 0.941 0.561 0.257


# 8
Starting from a DFT-relaxed cell (GGA-PBE, the Materials Project), the X-ray diffraction stick pattern of Ce2MgSe4 was calculated for Cu Kα, 1.54184 Å.
Peak positions follow from Bragg's law for the DFT cell and can differ from measured ones.

Top 10 peaks for 2θ from 15° to 90°, in order of falling intensity:
d/Å	I_rel
2.544	100
3.289	69
5.088	57
2.135	52
2.528	40
3.254	38
3.566	36
2.165	31
4.011	28
3.639	25

Cell and atoms:
a = 14.729 Å, b = 8.659 Å, c = 6.955 Å
α = 90.00°, β = 90.00°, γ = 90.00°
Sites, in units of the cell vectors:
Ce 0.000 0.000 0.000
Ce 0.000 0.500 0.000
Ce 0.233 0.250 0.497
Ce 0.267 0.750 0.997
Ce 0.500 0.000 0.500
Ce 0.500 0.500 0.500
Ce 0.733 0.250 0.003
Ce 0.767 0.750 0.503
Mg 0.093 0.750 0.414
Mg 0.407 0.250 0.914
Mg 0.593 0.750 0.086
Mg 0.907 0.250 0.586
Se 0.068 0.250 0.745
Se 0.091 0.750 0.782
Se 0.169 0.514 0.243
Se 0.169 0.986 0.243
Se 0.331 0.014 0.743
Se 0.331 0.486 0.743
Se 0.409 0.250 0.282
Se 0.432 0.750 0.245
Se 0.568 0.250 0.755
Se 0.591 0.750 0.718
Se 0.669 0.514 0.257
Se 0.669 0.986 0.257
Se 0.831 0.014 0.757
Se 0.831 0.486 0.757
Se 0.909 0.250 0.218
Se 0.932 0.750 0.255